Record 1
Diffraction record for CsDyZnSe3. The powder diffraction line list is computed, not measured: it uses a crystal structure in the Materials Project, relaxed with GGA-PBE and a wavelength of 1.5418 Å.
Lines closer than 0.1° are merged.

Crystal structure
Cell: 8.316 8.316 10.993 Å, 90.00 90.00 150.64°
Fractional positions:
Cs: 0.241 0.759 0.750
Cs: 0.759 0.241 0.250
Dy: 0.500 0.500 0.000
Dy: 0.500 0.500 0.500
Zn: 0.040 0.960 0.250
Zn: 0.960 0.040 0.750
Se: 0.117 0.883 0.058
Se: 0.117 0.883 0.442
Se: 0.446 0.554 0.250
Se: 0.554 0.446 0.750
Se: 0.883 0.117 0.558
Se: 0.883 0.117 0.942

Top 6 peaks for 2θ = 10–80°, sorted by position:
Position (°2θ)	I/Imax
11.00	75.4
19.56	43.8
26.90	46.0
28.12	100.0
31.52	42.3
38.83	53.7

Record 2
Diffraction record for CsDyZnTe3. The powder diffraction line list is computed, not measured: it uses a crystal structure in the Materials Project, relaxed with GGA-PBE and a wavelength of 1.5418 Å.
Lines closer than 0.1° are merged.

Crystal structure
Cell: 8.968 8.968 11.747 Å, 90.00 90.00 151.40°
Fractional positions:
Cs: 0.246 0.754 0.750
Cs: 0.754 0.246 0.250
Dy: 0.500 0.500 0.000
Dy: 0.500 0.500 0.500
Zn: 0.038 0.962 0.250
Zn: 0.962 0.038 0.750
Te: 0.119 0.881 0.058
Te: 0.119 0.881 0.442
Te: 0.442 0.558 0.250
Te: 0.558 0.442 0.750
Te: 0.881 0.119 0.558
Te: 0.881 0.119 0.942

Top 6 peaks for 2θ = 10–80°, sorted by position:
Position (°2θ)	I/Imax
10.18	72.6
25.31	46.4
26.44	100.0
29.59	40.7
36.23	51.5
46.46	41.9

Record 3
Diffraction record for CsErO2. The powder diffraction line list is computed, not measured: it uses a crystal structure in the Materials Project, relaxed with GGA-PBE and a wavelength of 1.5418 Å.
Lines closer than 0.1° are merged.

Crystal structure
Cell: 3.520 3.520 13.698 Å, 90.00 90.00 120.00°
Fractional positions:
Cs: 0.333 0.667 0.250
Cs: 0.667 0.333 0.750
Er: 0.000 0.000 0.000
Er: 0.000 0.000 0.500
O: 0.333 0.667 0.582
O: 0.333 0.667 0.918
O: 0.667 0.333 0.082
O: 0.667 0.333 0.418

Top 6 peaks for 2θ = 10–80°, sorted by position:
Position (°2θ)	I/Imax
26.02	45.6
32.14	100.0
35.41	31.3
49.91	35.6
51.96	27.5
59.01	28.7

Record 4
Diffraction record for CsErP2O7. The powder diffraction line list is computed, not measured: it uses a crystal structure in the Materials Project, relaxed with GGA-PBE and a wavelength of 1.5418 Å.
Lines closer than 0.1° are merged.

Crystal structure
Cell: 8.002 10.970 8.863 Å, 90.00 104.42 90.00°
Fractional positions:
Cs: 0.199 0.193 0.051
Cs: 0.199 0.307 0.551
Cs: 0.801 0.693 0.449
Cs: 0.801 0.807 0.949
Er: 0.237 0.600 0.254
Er: 0.237 0.900 0.754
Er: 0.763 0.100 0.246
Er: 0.763 0.400 0.746
P: 0.132 0.596 0.823
P: 0.132 0.904 0.323
P: 0.426 0.631 0.682
P: 0.426 0.869 0.182
P: 0.574 0.131 0.818
P: 0.574 0.369 0.318
P: 0.868 0.096 0.677
P: 0.868 0.404 0.177
O: 0.004 0.502 0.730
O: 0.004 0.998 0.230
O: 0.086 0.726 0.760
O: 0.086 0.774 0.260
O: 0.153 0.585 0.998
O: 0.153 0.915 0.498
O: 0.320 0.561 0.793
O: 0.320 0.939 0.293
O: 0.327 0.606 0.514
O: 0.327 0.894 0.014
O: 0.395 0.071 0.773
O: 0.395 0.429 0.273
O: 0.438 0.734 0.227
O: 0.438 0.766 0.727
O: 0.562 0.234 0.273
O: 0.562 0.266 0.773
O: 0.605 0.571 0.727
O: 0.605 0.929 0.227
O: 0.673 0.106 0.986
O: 0.673 0.394 0.486
O: 0.680 0.061 0.707
O: 0.680 0.439 0.207
O: 0.847 0.085 0.502
O: 0.847 0.415 0.002
O: 0.914 0.226 0.740
O: 0.914 0.274 0.240
O: 0.996 0.002 0.770
O: 0.996 0.498 0.270

Top 6 peaks for 2θ = 10–80°, sorted by position:
Position (°2θ)	I/Imax
15.61	50.1
22.54	45.3
22.95	56.2
26.96	97.4
27.38	89.6
27.99	100.0